Entry 1:
# Dy2TmCo2B2C3
Computed powder diffraction line list, Cu Kα X-rays. Input: the PBE geometry in OQMD.
Peak positions follow from Bragg's law for the DFT cell and can differ from measured ones.

Most intense lines, 2θ from 10° to 90°, most intense first:
- 2θ 28.50, I 100.0
- 2θ 33.57, I 85.0
- 2θ 35.17, I 47.7
- 2θ 36.00, I 38.4
- 2θ 37.09, I 37.4
- 2θ 51.82, I 33.9
- 2θ 64.18, I 32.1
- 2θ 63.17, I 28.3
- 2θ 40.23, I 26.8
- 2θ 60.20, I 26.4
- 2θ 51.21, I 24.1
- 2θ 45.06, I 19.5

a = 10.507 Å, b = 10.507 Å, c = 10.507 Å
α = 160.67°, β = 160.67°, γ = 27.47°
Positions (direct):
Dy (0.123, 0.123, 0.000)
Dy (0.877, 0.877, 0.000)
Tm (0.500, 0.500, 0.000)
Co (0.250, 0.750, 0.500)
Co (0.750, 0.250, 0.500)
B (0.306, 0.306, 0.000)
B (0.694, 0.694, 0.000)
C (0.000, 0.000, 0.000)
C (0.380, 0.380, 0.000)
C (0.620, 0.620, 0.000)



Entry 2:
# Cs4Re6S13
Computed powder diffraction line list, Cu Kα X-rays. Input: the PBE geometry in OQMD.
Peak positions follow from Bragg's law for the DFT cell and can differ from measured ones.

Most intense lines, 2θ from 10° to 90°, most intense first:
- 2θ 11.26, I 100.0
- 2θ 13.00, I 92.2
- 2θ 10.25, I 68.4
- 2θ 45.89, I 32.9
- 2θ 16.57, I 31.3
- 2θ 36.08, I 25.7
- 2θ 37.63, I 21.8
- 2θ 17.86, I 20.1
- 2θ 41.90, I 18.8
- 2θ 46.88, I 16.2
- 2θ 18.41, I 15.6
- 2θ 40.52, I 14.9

a = 9.998 Å, b = 9.998 Å, c = 13.871 Å
α = 95.29°, β = 95.29°, γ = 119.34°
Positions (direct):
Cs (0.158, 0.407, 0.587)
Cs (0.183, 0.227, 0.286)
Cs (0.227, 0.183, 0.786)
Cs (0.407, 0.158, 0.087)
Cs (0.593, 0.842, 0.913)
Cs (0.773, 0.817, 0.214)
Cs (0.817, 0.773, 0.714)
Cs (0.842, 0.593, 0.413)
Re (0.065, 0.654, 0.109)
Re (0.084, 0.651, 0.921)
Re (0.189, 0.504, 0.022)
Re (0.346, 0.935, 0.391)
Re (0.349, 0.916, 0.579)
Re (0.496, 0.811, 0.478)
Re (0.504, 0.189, 0.522)
Re (0.651, 0.084, 0.421)
Re (0.654, 0.065, 0.609)
Re (0.811, 0.496, 0.978)
Re (0.916, 0.349, 0.079)
Re (0.935, 0.346, 0.891)
S (0.037, 0.221, 0.995)
S (0.141, 0.859, 0.250)
S (0.142, 0.777, 0.674)
S (0.156, 0.508, 0.193)
S (0.192, 0.504, 0.848)
S (0.217, 0.691, 0.450)
S (0.221, 0.037, 0.495)
S (0.223, 0.858, 0.826)
S (0.309, 0.783, 0.050)
S (0.452, 0.521, 0.062)
S (0.479, 0.548, 0.438)
S (0.492, 0.844, 0.307)
S (0.496, 0.808, 0.652)
S (0.504, 0.192, 0.348)
S (0.508, 0.156, 0.693)
S (0.521, 0.452, 0.562)
S (0.548, 0.479, 0.938)
S (0.691, 0.217, 0.950)
S (0.777, 0.142, 0.174)
S (0.779, 0.963, 0.505)
S (0.783, 0.309, 0.550)
S (0.808, 0.496, 0.152)
S (0.844, 0.492, 0.807)
S (0.858, 0.223, 0.326)
S (0.859, 0.141, 0.750)
S (0.963, 0.779, 0.005)